1.
Starting from a GGA-PBE-relaxed structure, the X-ray diffraction stick pattern of Sr3NCl3 was calculated for Cu Kα, 1.54184 Å.
Intensities are scaled so that the largest is 100.

Crystal structure
Cell lengths 11.549, 11.549, 11.549 Å; angles 90.00, 90.00, 90.00 degrees
Space group I4_132 (No. 214)
Inequivalent atoms, fractional coordinates:
Sr (0.108, 0.358, 0.125)
N (0.125, 0.125, 0.125)
Cl (0.125, 0.125, 0.625)

Most intense lines, 2θ = 10–90°, by angle:
two_theta  I_rel  h k l
10.83  45  1 1 0
26.74  22  2 2 2
28.93  37  3 2 1
30.97  100  4 0 0
36.49  19  3 3 2
44.37  64  4 4 0
55.09  20  4 4 4
58.75  14  7 2 1
73.32  21  8 4 0
81.69  14  8 4 4

2.
Starting from a GGA-PBE-relaxed structure, the X-ray diffraction stick pattern of DyGa4Co2 was calculated for Cu Kα, 1.54184 Å.
Intensities are scaled so that the largest is 100.

Crystal structure
Cell lengths 16.818, 4.141, 6.352 Å; angles 90.00, 90.00, 90.00 degrees
Space group Pnma (No. 62)
Inequivalent atoms, fractional coordinates:
Dy (0.139, 0.250, 0.013)
Ga (0.032, 0.750, 0.842)
Ga (0.072, 0.250, 0.504)
Ga (0.186, 0.750, 0.316)
Ga (0.195, 0.750, 0.721)
Co (0.038, 0.750, 0.245)
Co (0.216, 0.250, 0.521)

Most intense lines, 2θ = 10–90°, by angle:
two_theta  I_rel  h k l
35.42  10  4 0 2
37.24  100  2 1 2
38.79  18  6 1 0
40.13  19  7 0 1
43.72  25  0 2 0
45.81  10  3 0 3
60.83  11  7 2 1
65.17  7  3 2 3
71.01  18  12 1 0
76.02  12  2 3 2

3.
Starting from a GGA-PBE-relaxed structure, the X-ray diffraction stick pattern of V2Cr7Re2 was calculated for Cu Kα, 1.54184 Å.
Intensities are scaled so that the largest is 100.

Crystal structure
Cell lengths 4.957, 8.797, 6.776 Å; angles 90.00, 99.30, 90.00 degrees
Space group C2/m (No. 12)
Inequivalent atoms, fractional coordinates:
V (0.146, 0.000, 0.224)
Cr (0.000, 0.500, 0.000)
Cr (0.197, 0.283, 0.156)
Cr (0.217, 0.500, 0.395)
Re (0.000, 0.250, 0.500)

Most intense lines, 2θ = 10–90°, by angle:
two_theta  I_rel  h k l
13.24  100  0 0 1
20.19  53  0 2 0
24.22  44  0 2 1
33.67  31  0 2 2
41.04  58  0 4 0
42.10  32  2 0 -2
42.54  63  2 2 -1
45.63  53  0 2 3
46.39  42  2 2 1
47.12  32  2 2 -2

What did the first record say?
Starting from a GGA-PBE-relaxed structure, the X-ray diffraction stick pattern of Sr3NCl3 was calculated for Cu Kα, 1.54184 Å.
Intensities are scaled so that the largest is 100.

Crystal structure
Cell lengths 11.549, 11.549, 11.549 Å; angles 90.00, 90.00, 90.00 degrees
Space group I4_132 (No. 214)
Inequivalent atoms, fractional coordinates:
Sr (0.108, 0.358, 0.125)
N (0.125, 0.125, 0.125)
Cl (0.125, 0.125, 0.625)

Most intense lines, 2θ = 10–90°, by angle:
two_theta  I_rel  h k l
10.83  45  1 1 0
26.74  22  2 2 2
28.93  37  3 2 1
30.97  100  4 0 0
36.49  19  3 3 2
44.37  64  4 4 0
55.09  20  4 4 4
58.75  14  7 2 1
73.32  21  8 4 0
81.69  14  8 4 4